SrSbPt: computed powder diffractogram (Cu Kα X-rays), based on DFT lattice parameters and positions (PBE).
No peak broadening, texture or thermal motion is included.

Top 10 peaks for 2θ from 10° to 90°, in order of falling intensity:
2θ (°)  Rel. int.  hkl
29.90  100.0  1 0 1
39.47  79.9  1 1 0
57.07  40.7  1 1 2
19.46  37.4  0 0 1
65.75  31.7  2 1 1
44.36  27.1  1 1 1
50.28  23.6  2 0 1
84.95  20.2  3 0 2
22.47  12.8  1 0 0
75.01  11.6  3 0 1

Atomic structure:
```
data_SrSbPt
_chemical_formula_sum 'Sr1 Sb1 Pt1'
_cell_length_a 4.5680
_cell_length_b 4.5680
_cell_length_c 4.5608
_cell_angle_alpha 90.00
_cell_angle_beta 90.00
_cell_angle_gamma 120.00
_symmetry_space_group_name_H-M 'P -6 m 2'
_symmetry_Int_Tables_number 187
_symmetry_space_group_name_Hall 'P -6 2'
loop_
_atom_site_label
_atom_site_fract_x
_atom_site_fract_y
_atom_site_fract_z
Sr1 0.0000 0.0000 0.0000
Sb1 0.6667 0.3333 0.5000
Pt1 0.3333 0.6667 0.5000
```